For Fe3OF5, a structure optimized by DFT (GGA+U) gives the simulated PXRD pattern in this record (Cu Kα).
No peak broadening, texture or thermal motion is included.

Top 12 peaks for 2θ = 10–80°, sorted by position:
hkl 1 1 1, 2θ 25.93, rel. 100
hkl -1 1 1, 2θ 26.73, rel. 93
hkl 1 1 -2, 2θ 33.22, rel. 28
hkl 1 -1 2, 2θ 33.40, rel. 85
hkl 2 2 -1, 2θ 50.42, rel. 18
hkl 1 3 0, 2θ 50.60, rel. 18
hkl 2 0 3, 2θ 50.81, rel. 34
hkl -1 1 4, 2θ 51.63, rel. 43
hkl 2 2 2, 2θ 53.32, rel. 20
hkl -2 2 2, 2θ 55.07, rel. 17
hkl 0 2 -4, 2θ 56.73, rel. 21
hkl 0 4 1, 2θ 65.21, rel. 22

Structural model:
```
data_Fe3OF5
_chemical_formula_sum 'Fe6 O2 F10'
_space_group_name_H-M_alt 'P 1'
_space_group_IT_number 1
_cell_length_a 4.802
_cell_length_b 5.780
_cell_length_c 8.049
_cell_angle_alpha 87.90
_cell_angle_beta 89.29
_cell_angle_gamma 88.37
loop_
_space_group_symop_operation_xyz
'x,y,z'
loop_
_atom_site_label
_atom_site_type_symbol
_atom_site_fract_x
_atom_site_fract_y
_atom_site_fract_z
_atom_site_occupancy
Fe1 Fe 0.000 0.000 0.000 1
Fe2 Fe 0.002 0.343 0.648 1
Fe3 Fe 0.509 0.500 0.990 1
Fe4 Fe 0.515 0.157 0.316 1
Fe5 Fe 0.522 0.823 0.648 1
Fe6 Fe 0.968 0.685 0.329 1
O1 O 0.798 0.639 0.548 1
O2 O 0.810 0.949 0.228 1
F1 F 0.206 0.685 0.104 1
F2 F 0.207 0.379 0.409 1
F3 F 0.216 0.029 0.751 1
F4 F 0.295 0.861 0.436 1
F5 F 0.312 0.549 0.749 1
F6 F 0.314 0.198 0.080 1
F7 F 0.689 0.126 0.570 1
F8 F 0.700 0.806 0.876 1
F9 F 0.721 0.461 0.219 1
F10 F 0.815 0.305 0.885 1
```